1.
Theoretical powder X-ray diffraction pattern of Nd3Hg for copper Kα, from a DFT-relaxed cell (GGA-PBE, Alexandria).
No peak broadening, texture or thermal motion is included.

Atomic structure:
Unit cell a=4.862 b=4.862 c=10.224 alpha=90.00 beta=90.00 gamma=90.00
Fractional coordinates of all 8 atoms:
Nd 0.000 0.000 0.000
Nd 0.000 0.500 0.250
Nd 0.000 0.500 0.750
Nd 0.500 0.000 0.250
Nd 0.500 0.000 0.750
Nd 0.500 0.500 0.500
Hg 0.000 0.000 0.500
Hg 0.500 0.500 0.000

The 10 most intense peaks (2θ = 15–90°), sorted by position:
2θ = 31.36°, I 100; 2θ = 35.11°, I 19; 2θ = 36.98°, I 32; 2θ = 51.91°, I 24; 2θ = 53.30°, I 11; 2θ = 60.66°, I 15; 2θ = 63.15°, I 27; 2θ = 65.43°, I 12; 2θ = 84.97°, I 12; 2θ = 85.92°, I 6

2.
Theoretical powder X-ray diffraction pattern of SmGdGeAu for copper Kα, from a DFT-relaxed cell (GGA-PBE, Alexandria).
No peak broadening, texture or thermal motion is included.

Atomic structure:
Unit cell a=7.286 b=7.286 c=7.286 alpha=90.00 beta=90.00 gamma=90.00
Fractional coordinates of all 16 atoms:
Sm 0.000 0.000 0.000
Sm 0.000 0.500 0.500
Sm 0.500 0.000 0.500
Sm 0.500 0.500 0.000
Gd 0.000 0.000 0.500
Gd 0.000 0.500 0.000
Gd 0.500 0.000 0.000
Gd 0.500 0.500 0.500
Ge 0.250 0.250 0.750
Ge 0.250 0.750 0.250
Ge 0.750 0.250 0.250
Ge 0.750 0.750 0.750
Au 0.250 0.250 0.250
Au 0.250 0.750 0.750
Au 0.750 0.250 0.750
Au 0.750 0.750 0.250

The 10 most intense peaks (2θ = 15–90°), sorted by position:
2θ = 21.12°, I 10; 2θ = 34.83°, I 100; 2θ = 41.09°, I 6; 2θ = 50.08°, I 18; 2θ = 54.93°, I 3; 2θ = 62.44°, I 37; 2θ = 66.71°, I 2; 2θ = 73.53°, I 11; 2θ = 77.51°, I 2; 2θ = 84.01°, I 16

3.
Theoretical powder X-ray diffraction pattern of Pm7CuI12 for copper Kα, from a DFT-relaxed cell (GGA-PBE, Alexandria).
No peak broadening, texture or thermal motion is included.

Atomic structure:
Unit cell a=9.906 b=9.906 c=9.906 alpha=107.78 beta=107.78 gamma=107.78
Fractional coordinates of all 20 atoms:
Pm 0.000 0.000 0.000
Pm 0.188 0.464 0.392
Pm 0.392 0.188 0.464
Pm 0.464 0.392 0.188
Pm 0.536 0.608 0.812
Pm 0.608 0.812 0.536
Pm 0.812 0.536 0.608
Cu 0.500 0.500 0.500
I 0.025 0.107 0.345
I 0.107 0.345 0.025
I 0.185 0.577 0.727
I 0.273 0.815 0.423
I 0.345 0.025 0.107
I 0.423 0.273 0.815
I 0.577 0.727 0.185
I 0.655 0.975 0.893
I 0.727 0.185 0.577
I 0.815 0.423 0.273
I 0.893 0.655 0.975
I 0.975 0.893 0.655

The 10 most intense peaks (2θ = 15–90°), sorted by position:
2θ = 24.60°, I 13; 2θ = 27.36°, I 10; 2θ = 28.59°, I 100; 2θ = 40.65°, I 36; 2θ = 41.09°, I 36; 2θ = 50.44°, I 18; 2θ = 59.18°, I 12; 2θ = 66.70°, I 14; 2θ = 67.32°, I 14; 2θ = 74.27°, I 10

Question: What is the formula in the first record?
Answer: Nd3Hg